The following is a calculated powder X-ray diffraction pattern of TiPd3Pt. It was derived from a structure optimized by DFT (GGA-PBE), using copper Kα.

Top 12 peaks for 10° ≤ 2θ ≤ 90°, by angle:
| 2θ (°) | I (rel.) |
| --- | --- |
| 15.21 | 36.6 |
| 29.65 | 23.8 |
| 30.33 | 28.6 |
| 38.07 | 46.3 |
| 41.55 | 86.5 |
| 42.64 | 42.6 |
| 43.85 | 100.0 |
| 58.47 | 25.5 |
| 65.40 | 19.2 |
| 78.91 | 20.1 |
| 81.26 | 20.0 |
| 85.25 | 17.7 |

Cell and atoms:
```
data_TiPd3Pt
_chemical_formula_sum 'Ti4 Pd12 Pt4'
_cell_length_a 8.482
_cell_length_b 8.018
_cell_length_c 5.063
_cell_angle_alpha 90.00
_cell_angle_beta 90.00
_cell_angle_gamma 90.00
_space_group_name_H-M_alt 'I m a 2'
_space_group_IT_number 46
loop_
_space_group_symop_operation_xyz
'x,y,z'
'-x,-y,z'
'-x+1/2,y,z'
'x+1/2,-y,z'
'x+1/2,y+1/2,z+1/2'
'-x+1/2,-y+1/2,z+1/2'
'-x,y+1/2,z+1/2'
'x,-y+1/2,z+1/2'
loop_
_atom_site_label
_atom_site_type_symbol
_atom_site_fract_x
_atom_site_fract_y
_atom_site_fract_z
_atom_site_occupancy
Ti1 Ti 0.250 0.136 0.000 1
Pd1 Pd 0.013 0.176 0.307 1
Pd2 Pd 0.250 0.011 0.537 1
Pt1 Pt 0.250 0.663 0.505 1
```


The following is a calculated powder X-ray diffraction pattern of TiPd4Pt5. It was derived from a structure optimized by DFT (GGA-PBE), using copper Kα.

Top 12 peaks for 10° ≤ 2θ ≤ 90°, by angle:
| 2θ (°) | I (rel.) |
| --- | --- |
| 14.52 | 12.7 |
| 20.01 | 20.9 |
| 22.05 | 12.3 |
| 30.55 | 13.0 |
| 32.07 | 10.8 |
| 37.63 | 10.4 |
| 39.20 | 34.5 |
| 40.66 | 24.6 |
| 42.98 | 100.0 |
| 57.75 | 17.7 |
| 73.66 | 22.7 |
| 75.59 | 12.8 |

Cell and atoms:
```
data_TiPd4Pt5
_chemical_formula_sum 'Ti2 Pd8 Pt10'
_cell_length_a 4.596
_cell_length_b 8.397
_cell_length_c 8.877
_cell_angle_alpha 90.00
_cell_angle_beta 90.00
_cell_angle_gamma 90.00
_space_group_name_H-M_alt 'I m m m'
_space_group_IT_number 71
_space_group_name_Hall '-I 2 2'
loop_
_atom_site_label
_atom_site_type_symbol
_atom_site_fract_x
_atom_site_fract_y
_atom_site_fract_z
_atom_site_occupancy
Ti1 Ti 0.000 0.000 0.000 1
Pd1 Pd 0.000 0.336 0.000 1
Pd2 Pd 0.000 0.500 0.302 1
Pt1 Pt 0.000 0.000 0.500 1
Pt2 Pt 0.000 0.166 0.250 1
```


The following is a calculated powder X-ray diffraction pattern of Ti3PdPt2. It was derived from a structure optimized by DFT (GGA-PBE), using copper Kα.

Top 12 peaks for 10° ≤ 2θ ≤ 90°, by angle:
| 2θ (°) | I (rel.) |
| --- | --- |
| 22.93 | 29.9 |
| 31.61 | 27.3 |
| 39.41 | 100.0 |
| 45.31 | 33.4 |
| 46.86 | 15.1 |
| 51.37 | 15.0 |
| 57.62 | 10.8 |
| 67.22 | 20.2 |
| 79.61 | 12.5 |
| 79.74 | 12.4 |
| 81.94 | 11.6 |
| 84.81 | 10.7 |

Cell and atoms:
```
data_Ti3PdPt2
_chemical_formula_sum 'Ti6 Pd2 Pt4'
_cell_length_a 4.007
_cell_length_b 11.999
_cell_length_c 3.878
_cell_angle_alpha 90.00
_cell_angle_beta 90.00
_cell_angle_gamma 90.00
_space_group_name_H-M_alt 'C m m m'
_space_group_IT_number 65
_space_group_name_Hall '-C 2 2'
loop_
_atom_site_label
_atom_site_type_symbol
_atom_site_fract_x
_atom_site_fract_y
_atom_site_fract_z
_atom_site_occupancy
Ti1 Ti 0.000 0.000 0.000 1
Ti2 Ti 0.000 0.332 0.000 1
Pd1 Pd 0.000 0.500 0.500 1
Pt1 Pt 0.000 0.166 0.500 1
```


The following is a calculated powder X-ray diffraction pattern of TiPd5Pt. It was derived from a structure optimized by DFT (GGA-PBE), using copper Kα.

Top 12 peaks for 10° ≤ 2θ ≤ 90°, by angle:
| 2θ (°) | I (rel.) |
| --- | --- |
| 20.10 | 11.4 |
| 32.04 | 11.3 |
| 35.19 | 48.2 |
| 40.88 | 100.0 |
| 48.30 | 10.9 |
| 50.63 | 10.3 |
| 54.99 | 11.7 |
| 67.02 | 28.2 |
| 72.59 | 7.1 |
| 74.41 | 11.9 |
| 88.51 | 10.4 |
| 88.61 | 10.8 |

Cell and atoms:
```
data_TiPd5Pt
_chemical_formula_sum 'Ti2 Pd10 Pt2'
_cell_length_a 5.095
_cell_length_b 5.098
_cell_length_c 8.841
_cell_angle_alpha 90.00
_cell_angle_beta 90.00
_cell_angle_gamma 90.00
_space_group_name_H-M_alt 'I m m 2'
_space_group_IT_number 44
loop_
_space_group_symop_operation_xyz
'x,y,z'
'-x,-y,z'
'-x,y,z'
'x,-y,z'
'x+1/2,y+1/2,z+1/2'
'-x+1/2,-y+1/2,z+1/2'
'-x+1/2,y+1/2,z+1/2'
'x+1/2,-y+1/2,z+1/2'
loop_
_atom_site_label
_atom_site_type_symbol
_atom_site_fract_x
_atom_site_fract_y
_atom_site_fract_z
_atom_site_occupancy
Ti1 Ti 0.000 0.000 0.000 1
Pd1 Pd 0.000 0.000 0.260 1
Pd2 Pd 0.000 0.254 0.762 1
Pd3 Pd 0.246 0.500 0.030 1
Pt1 Pt 0.000 0.500 0.382 1
```